[1]
# Co19Te34
Simulated powder diffractogram, Cu Kα (λ = 1.5418 Å). Input: a DFT-relaxed cell (GGA-PBE, Alexandria).
Lines closer than 0.1° are merged.

Top 6 peaks for 2θ = 15–90°, sorted by position:
h k l	Position (°2θ)	I (rel.)
2 1 3	31.6	76
-2 1 4	31.7	100
3 2 2	42.9	27
0 4 -3	43.0	32
0 2 7	47.6	39
1 -1 9	58.4	20

Cell and atoms:
```
data_Co19Te34
_space_group_name_H-M_alt 'P -1'
_space_group_IT_number 2
_cell_length_a 8.5792
_cell_length_b 9.3884
_cell_length_c 14.8004
_cell_angle_alpha 90.20
_cell_angle_beta 93.49
_cell_angle_gamma 99.74
loop_
_space_group_symop_operation_xyz
'x,y,z'
'-x,-y,-z'
loop_
_atom_site_label
_atom_site_type_symbol
_atom_site_fract_x
_atom_site_fract_y
_atom_site_fract_z
Co1 Co 0.0000 0.0000 0.0000
Co2 Co 0.0584 0.6769 0.2366
Co3 Co 0.0594 0.1774 0.2356
Co4 Co 0.1197 0.3505 0.4704
Co5 Co 0.1739 0.5268 0.7066
Co6 Co 0.2347 0.6987 0.9431
Co7 Co 0.2906 0.8799 0.1773
Co8 Co 0.3530 0.0555 0.4126
Co9 Co 0.4111 0.2338 0.6449
Co10 Co 0.4714 0.4127 0.8845
Te1 Te 0.0037 0.5887 0.8333
Te2 Te 0.0543 0.5879 0.4047
Te3 Te 0.0621 0.7644 0.0666
Te4 Te 0.1114 0.7641 0.6382
Te5 Te 0.1218 0.9434 0.3045
Te6 Te 0.1703 0.9385 0.8740
Te7 Te 0.1817 0.1165 0.5390
Te8 Te 0.2293 0.1166 0.1091
Te9 Te 0.2438 0.2916 0.7741
Te10 Te 0.2893 0.2932 0.3442
Te11 Te 0.2986 0.4663 0.0101
Te12 Te 0.3472 0.4699 0.5791
Te13 Te 0.3610 0.6453 0.2449
Te14 Te 0.4041 0.6465 0.8154
Te15 Te 0.4176 0.8225 0.4805
Te16 Te 0.4622 0.8224 0.0495
Te17 Te 0.4775 0.0006 0.7145
```

=====

[2]
# ZrI
Simulated powder diffractogram, Cu Kα (λ = 1.5418 Å). Input: a DFT-relaxed cell (GGA-PBE, Alexandria).
Lines closer than 0.1° are merged.

Top 6 peaks for 2θ = 15–90°, sorted by position:
h k l	Position (°2θ)	I (rel.)
0 0 2	16.7	28
1 0 1	29.3	71
0 1 2	32.8	100
1 0 3	38.0	55
1 1 0	49.7	37
1 1 5	67.4	27

Cell and atoms:
```
data_ZrI
_space_group_name_H-M_alt 'P 3 m 1'
_space_group_IT_number 156
_cell_length_a 3.6701
_cell_length_b 3.6701
_cell_length_c 10.6437
_cell_angle_alpha 90.00
_cell_angle_beta 90.00
_cell_angle_gamma 120.00
loop_
_space_group_symop_operation_xyz
'x,y,z'
'-y,x-y,z'
'-x+y,-x,z'
'-y,-x,z'
'-x+y,y,z'
'x,x-y,z'
loop_
_atom_site_label
_atom_site_type_symbol
_atom_site_fract_x
_atom_site_fract_y
_atom_site_fract_z
Zr1 Zr 0.0000 0.0000 0.0000
Zr2 Zr 0.3333 0.6667 0.2204
I1 I 0.3333 0.6667 0.8031
I2 I 0.6667 0.3333 0.4143
```

=====

[3]
# BaBr2O
Simulated powder diffractogram, Cu Kα (λ = 1.5418 Å). Input: a DFT-relaxed cell (GGA-PBE, Alexandria).
Lines closer than 0.1° are merged.

Top 6 peaks for 2θ = 15–90°, sorted by position:
h k l	Position (°2θ)	I (rel.)
1 1 2	26.8	100
2 1 1	28.4	71
0 1 3	30.9	49
0 0 4	32.4	54
3 0 2	33.5	63
0 2 0	38.5	41

Cell and atoms:
```
data_BaBr2O
_space_group_name_H-M_alt 'P n m a'
_space_group_IT_number 62
_cell_length_a 9.1583
_cell_length_b 4.6802
_cell_length_c 11.0618
_cell_angle_alpha 90.00
_cell_angle_beta 90.00
_cell_angle_gamma 90.00
loop_
_space_group_symop_operation_xyz
'x,y,z'
'-x,-y,-z'
'-x+1/2,-y,z+1/2'
'x+1/2,y,-z+1/2'
'x+1/2,-y+1/2,-z+1/2'
'-x+1/2,y+1/2,z+1/2'
'-x,y+1/2,-z'
'x,-y+1/2,z'
loop_
_atom_site_label
_atom_site_type_symbol
_atom_site_fract_x
_atom_site_fract_y
_atom_site_fract_z
Ba1 Ba 0.2295 0.2500 0.1120
Br1 Br 0.0561 0.7500 0.3355
Br2 Br 0.1294 0.7500 0.8984
O1 O 0.1414 0.2500 0.6413
```

=====

[4]
# PuU4O10
Simulated powder diffractogram, Cu Kα (λ = 1.5418 Å). Input: a DFT-relaxed cell (GGA-PBE, Alexandria).
Lines closer than 0.1° are merged.

Top 6 peaks for 2θ = 15–90°, sorted by position:
h k l	Position (°2θ)	I (rel.)
0 1 5	28.5	100
1 0 10	33.1	37
1 1 0	47.5	49
2 0 5	56.3	47
1 2 5	76.6	20
3 0 0	88.4	17

Cell and atoms:
```
data_PuU4O10
_space_group_name_H-M_alt 'R -3 m'
_space_group_IT_number 166
_space_group_name_Hall '-R 3 2"'
_cell_length_a 3.8329
_cell_length_b 3.8329
_cell_length_c 46.9026
_cell_angle_alpha 90.00
_cell_angle_beta 90.00
_cell_angle_gamma 120.00
loop_
_atom_site_label
_atom_site_type_symbol
_atom_site_fract_x
_atom_site_fract_y
_atom_site_fract_z
Pu1 Pu 0.0000 0.0000 0.0000
U1 U 0.0000 0.0000 0.1999
U2 U 0.0000 0.0000 0.3993
O1 O 0.0000 0.0000 0.0518
O2 O 0.0000 0.0000 0.1501
O3 O 0.0000 0.0000 0.2499
O4 O 0.0000 0.0000 0.3521
O5 O 0.0000 0.0000 0.4501
```

=====

[5]
# OsBr4Cl
Simulated powder diffractogram, Cu Kα (λ = 1.5418 Å). Input: a DFT-relaxed cell (GGA-PBE, Alexandria).
Lines closer than 0.1° are merged.

Top 6 peaks for 2θ = 15–90°, sorted by position:
h k l	Position (°2θ)	I (rel.)
0 4 0	16.4	94
0 1 1	19.5	100
1 5 -1	31.4	43
1 4 0	34.5	39
1 4 -2	35.1	37
1 7 -1	37.6	32

Cell and atoms:
```
data_OsBr4Cl
_space_group_name_H-M_alt 'P 1 21/c 1'
_space_group_IT_number 14
_cell_length_a 3.7773
_cell_length_b 21.6684
_cell_length_c 5.9352
_cell_angle_alpha 90.00
_cell_angle_beta 128.37
_cell_angle_gamma 90.00
loop_
_space_group_symop_operation_xyz
'x,y,z'
'-x,-y,-z'
'-x,y+1/2,-z+1/2'
'x,-y+1/2,z+1/2'
loop_
_atom_site_label
_atom_site_type_symbol
_atom_site_fract_x
_atom_site_fract_y
_atom_site_fract_z
Os1 Os 0.0000 0.0000 0.0000
Br1 Br 0.0157 0.2500 0.0007
Br2 Br 0.5002 0.0776 0.0001
Cl1 Cl 0.5000 0.0000 0.5000
```

=====

[6]
# Rb2CdInI5
Simulated powder diffractogram, Cu Kα (λ = 1.5418 Å). Input: a DFT-relaxed cell (GGA-PBE, Alexandria).
Lines closer than 0.1° are merged.

Top 6 peaks for 2θ = 15–90°, sorted by position:
h k l	Position (°2θ)	I (rel.)
1 1 2	21.8	57
1 1 3	24.7	100
1 1 4	28.4	50
1 1 5	32.5	54
2 0 0	37.8	55
1 5 5	39.0	51

Cell and atoms:
```
data_Rb2CdInI5
_space_group_name_H-M_alt 'C m c 21'
_space_group_IT_number 36
_cell_length_a 4.7615
_cell_length_b 20.7994
_cell_length_c 17.1121
_cell_angle_alpha 90.00
_cell_angle_beta 90.00
_cell_angle_gamma 90.00
loop_
_space_group_symop_operation_xyz
'x,y,z'
'-x,-y,z+1/2'
'-x,y,z'
'x,-y,z+1/2'
'x+1/2,y+1/2,z'
'-x+1/2,-y+1/2,z+1/2'
'-x+1/2,y+1/2,z'
'x+1/2,-y+1/2,z+1/2'
loop_
_atom_site_label
_atom_site_type_symbol
_atom_site_fract_x
_atom_site_fract_y
_atom_site_fract_z
Rb1 Rb 0.0000 0.0792 0.0000
Rb2 Rb 0.0000 0.1434 0.6467
Cd1 Cd 0.0000 0.2314 0.3864
In1 In 0.0000 0.4545 0.8030
I1 I 0.0000 0.0943 0.4288
I2 I 0.0000 0.2525 0.0097
I3 I 0.0000 0.2971 0.7687
I4 I 0.0000 0.3663 0.3414
I5 I 0.0000 0.4929 0.1188
```

=====

[7]
# Nd2Hg2Au3
Simulated powder diffractogram, Cu Kα (λ = 1.5418 Å). Input: a DFT-relaxed cell (GGA-PBE, Alexandria).
Lines closer than 0.1° are merged.

Top 6 peaks for 2θ = 15–90°, sorted by position:
h k l	Position (°2θ)	I (rel.)
3 0 1	31.5	90
2 2 2	34.6	83
3 2 1	37.4	100
4 0 0	40.1	59
4 4 0	58.0	40
6 2 2	69.3	64

Cell and atoms:
```
data_Nd2Hg2Au3
_space_group_name_H-M_alt 'I 21 3'
_space_group_IT_number 199
_space_group_name_Hall 'I 2b 2c 3'
_cell_length_a 8.9891
_cell_length_b 8.9891
_cell_length_c 8.9891
_cell_angle_alpha 90.00
_cell_angle_beta 90.00
_cell_angle_gamma 90.00
loop_
_atom_site_label
_atom_site_type_symbol
_atom_site_fract_x
_atom_site_fract_y
_atom_site_fract_z
Nd1 Nd 0.0039 0.0039 0.0039
Hg1 Hg 0.1883 0.3117 0.6883
Au1 Au 0.0000 0.2500 0.2510
```

=====

[8]
# NdPaCo4
Simulated powder diffractogram, Cu Kα (λ = 1.5418 Å). Input: a DFT-relaxed cell (GGA-PBE, Alexandria).
Lines closer than 0.1° are merged.

Top 6 peaks for 2θ = 15–90°, sorted by position:
h k l	Position (°2θ)	I (rel.)
1 1 1	21.6	26
2 2 0	35.7	71
3 1 1	42.1	100
4 2 2	64.0	27
3 3 3	68.4	31
4 4 0	75.5	21

Cell and atoms:
```
data_NdPaCo4
_space_group_name_H-M_alt 'F -4 3 m'
_space_group_IT_number 216
_space_group_name_Hall 'F -4 2 3'
_cell_length_a 7.1222
_cell_length_b 7.1222
_cell_length_c 7.1222
_cell_angle_alpha 90.00
_cell_angle_beta 90.00
_cell_angle_gamma 90.00
loop_
_atom_site_label
_atom_site_type_symbol
_atom_site_fract_x
_atom_site_fract_y
_atom_site_fract_z
Nd1 Nd 0.0000 0.0000 0.0000
Pa1 Pa 0.2500 0.2500 0.7500
Co1 Co 0.1244 0.1244 0.3756
```

=====

[9]
# Li8CuSn6
Simulated powder diffractogram, Cu Kα (λ = 1.5418 Å). Input: a DFT-relaxed cell (GGA-PBE, Alexandria).
Lines closer than 0.1° are merged.

Top 6 peaks for 2θ = 15–90°, sorted by position:
h k l	Position (°2θ)	I (rel.)
0 0 3	15.0	55
1 1 0	22.1	27
1 1 3	26.9	100
2 -1 6	37.9	66
3 0 0	38.9	50
3 0 3	41.9	26

Cell and atoms:
```
data_Li8CuSn6
_space_group_name_H-M_alt 'R -3'
_space_group_IT_number 148
_space_group_name_Hall '-R 3'
_cell_length_a 8.0275
_cell_length_b 8.0275
_cell_length_c 17.6669
_cell_angle_alpha 90.00
_cell_angle_beta 90.00
_cell_angle_gamma 120.00
loop_
_atom_site_label
_atom_site_type_symbol
_atom_site_fract_x
_atom_site_fract_y
_atom_site_fract_z
Li1 Li 0.0000 0.0000 0.1675
Li2 Li 0.0033 0.3423 0.3822
Cu1 Cu 0.0000 0.0000 0.5000
Sn1 Sn 0.0014 0.3218 0.5518
```

=====

[10]
# Mn5Co2H12
Simulated powder diffractogram, Cu Kα (λ = 1.5418 Å). Input: a DFT-relaxed cell (GGA-PBE, Alexandria).
Lines closer than 0.1° are merged.

Top 6 peaks for 2θ = 15–90°, sorted by position:
h k l	Position (°2θ)	I (rel.)
3 1 0	34.7	93
1 1 -2	36.7	100
4 0 0	39.5	37
2 2 0	41.8	53
2 0 2	43.2	45
4 0 -2	44.3	41

Cell and atoms:
```
data_Mn5Co2H12
_space_group_name_H-M_alt 'C 1 2/m 1'
_space_group_IT_number 12
_cell_length_a 9.4851
_cell_length_b 4.9145
_cell_length_c 5.6559
_cell_angle_alpha 90.00
_cell_angle_beta 105.99
_cell_angle_gamma 90.00
loop_
_space_group_symop_operation_xyz
'x,y,z'
'-x,-y,-z'
'-x,y,-z'
'x,-y,z'
'x+1/2,y+1/2,z'
'-x+1/2,-y+1/2,-z'
'-x+1/2,y+1/2,-z'
'x+1/2,-y+1/2,z'
loop_
_atom_site_label
_atom_site_type_symbol
_atom_site_fract_x
_atom_site_fract_y
_atom_site_fract_z
Mn1 Mn 0.0000 0.0000 0.0000
Mn2 Mn 0.1981 0.5000 0.8628
Mn3 Mn 0.2094 0.5000 0.3429
Co1 Co 0.0000 0.2477 0.5000
H1 H 0.0024 0.5000 0.2900
H2 H 0.0323 0.0000 0.3330
H3 H 0.1576 0.2580 0.0762
H4 H 0.1789 0.2915 0.5965
```

=====

[11]
# Rb4Pr3ScO8
Simulated powder diffractogram, Cu Kα (λ = 1.5418 Å). Input: a DFT-relaxed cell (GGA-PBE, Alexandria).
Lines closer than 0.1° are merged.

Top 6 peaks for 2θ = 15–90°, sorted by position:
h k l	Position (°2θ)	I (rel.)
0 0 6	27.1	38
2 0 2	30.0	76
0 2 4	34.0	100
2 0 8	46.9	34
2 2 0	50.7	32
2 2 6	58.4	27

Cell and atoms:
```
data_Rb4Pr3ScO8
_space_group_name_H-M_alt 'R -3 m'
_space_group_IT_number 166
_space_group_name_Hall '-R 3 2"'
_cell_length_a 7.2082
_cell_length_b 7.2082
_cell_length_c 19.7710
_cell_angle_alpha 90.00
_cell_angle_beta 90.00
_cell_angle_gamma 120.00
loop_
_atom_site_label
_atom_site_type_symbol
_atom_site_fract_x
_atom_site_fract_y
_atom_site_fract_z
Rb1 Rb 0.0000 0.0000 0.0000
Rb2 Rb 0.0000 0.5000 0.0000
Pr1 Pr 0.0000 0.5000 0.5000
Sc1 Sc 0.0000 0.0000 0.5000
O1 O 0.0000 0.0000 0.2281
O2 O 0.0222 0.5111 0.2254
```